No. 1
Cs2SnICl6: theoretical powder X-ray diffraction pattern (Cu Kα, 1.54184 Å), based on a crystal structure in Alexandria, relaxed with PBE.
Peak positions follow from Bragg's law for the DFT cell and can differ from measured ones.

Most intense lines, 15 to 90 degrees two-theta, by angle:
| Position (°2θ) | Rel. int. |
| --- | --- |
| 17.4 | 34 |
| 22.0 | 100 |
| 23.8 | 24 |
| 29.6 | 33 |
| 31.0 | 25 |
| 33.0 | 27 |
| 35.6 | 20 |
| 44.9 | 19 |

Crystal structure
Lattice parameters (Å, degrees): 7.492 10.865 10.217 90.00 90.00 90.00
Atoms (fractional coordinates):
Cs: 0.250 0.009 0.184
Cs: 0.250 0.491 0.184
Cs: 0.750 0.509 0.816
Cs: 0.750 0.991 0.816
Sn: 0.250 0.750 0.804
Sn: 0.750 0.250 0.196
I: 0.250 0.250 0.698
I: 0.750 0.750 0.302
Cl: 0.013 0.750 0.640
Cl: 0.021 0.750 0.982
Cl: 0.250 0.519 0.815
Cl: 0.250 0.981 0.815
Cl: 0.479 0.750 0.982
Cl: 0.487 0.750 0.640
Cl: 0.513 0.250 0.360
Cl: 0.521 0.250 0.018
Cl: 0.750 0.019 0.185
Cl: 0.750 0.481 0.185
Cl: 0.979 0.250 0.018
Cl: 0.987 0.250 0.360

=====

No. 2
Cs3Sn2I2Cl5: theoretical powder X-ray diffraction pattern (Cu Kα, 1.54184 Å), based on a crystal structure in Alexandria, relaxed with PBE.
Peak positions follow from Bragg's law for the DFT cell and can differ from measured ones.

Most intense lines, 15 to 90 degrees two-theta, by angle:
| Position (°2θ) | Rel. int. |
| --- | --- |
| 21.4 | 23 |
| 22.2 | 100 |
| 25.8 | 54 |
| 28.4 | 36 |
| 31.6 | 79 |
| 41.3 | 31 |
| 43.6 | 29 |
| 45.4 | 28 |

Crystal structure
Lattice parameters (Å, degrees): 15.770 15.770 15.770 159.34 159.34 29.38
Atoms (fractional coordinates):
Cs: 0.000 0.000 0.000
Cs: 0.173 0.173 0.000
Cs: 0.827 0.827 0.000
Sn: 0.407 0.407 0.000
Sn: 0.593 0.593 0.000
I: 0.303 0.303 0.000
I: 0.697 0.697 0.000
Cl: 0.090 0.590 0.500
Cl: 0.410 0.910 0.500
Cl: 0.500 0.500 0.000
Cl: 0.590 0.090 0.500
Cl: 0.910 0.410 0.500

=====

No. 3
Cs3Sn2I3Cl4: theoretical powder X-ray diffraction pattern (Cu Kα, 1.54184 Å), based on a crystal structure in Alexandria, relaxed with PBE.
Peak positions follow from Bragg's law for the DFT cell and can differ from measured ones.

Most intense lines, 15 to 90 degrees two-theta, by angle:
| Position (°2θ) | Rel. int. |
| --- | --- |
| 21.0 | 78 |
| 21.4 | 99 |
| 27.6 | 100 |
| 28.4 | 97 |
| 29.5 | 64 |
| 31.4 | 73 |
| 35.9 | 55 |
| 42.8 | 61 |

Crystal structure
Lattice parameters (Å, degrees): 15.708 15.708 15.708 156.93 31.34 159.08
Atoms (fractional coordinates):
Cs: 0.000 0.000 0.000
Cs: 0.185 0.998 0.187
Cs: 0.811 0.998 0.813
Sn: 0.401 0.012 0.389
Sn: 0.623 0.012 0.611
I: 0.397 0.497 0.900
I: 0.522 0.022 0.500
I: 0.597 0.497 0.100
Cl: 0.092 0.475 0.617
Cl: 0.295 0.995 0.300
Cl: 0.695 0.995 0.700
Cl: 0.858 0.475 0.383

=====

No. 4
Cs2SnI4Cl2: theoretical powder X-ray diffraction pattern (Cu Kα, 1.54184 Å), based on a crystal structure in Alexandria, relaxed with PBE.
Peak positions follow from Bragg's law for the DFT cell and can differ from measured ones.

Most intense lines, 15 to 90 degrees two-theta, by angle:
| Position (°2θ) | Rel. int. |
| --- | --- |
| 21.5 | 27 |
| 26.1 | 38 |
| 26.3 | 37 |
| 26.5 | 79 |
| 30.2 | 100 |
| 31.1 | 40 |
| 43.8 | 30 |
| 44.1 | 28 |

Crystal structure
Lattice parameters (Å, degrees): 8.225 8.225 8.428 120.44 120.44 60.73
Atoms (fractional coordinates):
Cs: 0.249 0.249 0.278
Cs: 0.751 0.751 0.722
Sn: 0.000 0.000 0.500
I: 0.225 0.735 0.238
I: 0.265 0.775 0.762
I: 0.735 0.225 0.238
I: 0.775 0.265 0.762
Cl: 0.217 0.217 0.679
Cl: 0.783 0.783 0.321

=====

No. 5
Cs3Sr2I3Cl4: theoretical powder X-ray diffraction pattern (Cu Kα, 1.54184 Å), based on a crystal structure in Alexandria, relaxed with PBE.
Peak positions follow from Bragg's law for the DFT cell and can differ from measured ones.

Most intense lines, 15 to 90 degrees two-theta, by angle:
| Position (°2θ) | Rel. int. |
| --- | --- |
| 20.8 | 51 |
| 21.3 | 66 |
| 23.8 | 56 |
| 27.2 | 100 |
| 27.6 | 77 |
| 29.2 | 51 |
| 31.3 | 55 |
| 35.1 | 49 |

Crystal structure
Lattice parameters (Å, degrees): 15.882 15.882 15.882 156.52 31.51 159.28
Atoms (fractional coordinates):
Cs: 0.000 0.000 0.000
Cs: 0.186 0.998 0.188
Cs: 0.810 0.998 0.812
Sr: 0.390 0.001 0.390
Sr: 0.611 0.001 0.610
I: 0.402 0.499 0.903
I: 0.501 0.001 0.500
I: 0.596 0.499 0.097
Cl: 0.113 0.501 0.613
Cl: 0.301 0.003 0.298
Cl: 0.705 0.003 0.702
Cl: 0.888 0.501 0.387

=====

No. 6
Cs3Sr2I2Cl5: theoretical powder X-ray diffraction pattern (Cu Kα, 1.54184 Å), based on a crystal structure in Alexandria, relaxed with PBE.
Peak positions follow from Bragg's law for the DFT cell and can differ from measured ones.

Most intense lines, 15 to 90 degrees two-theta, by angle:
| Position (°2θ) | Rel. int. |
| --- | --- |
| 21.9 | 100 |
| 25.4 | 48 |
| 28.0 | 51 |
| 28.7 | 27 |
| 31.2 | 83 |
| 40.7 | 28 |
| 42.9 | 34 |
| 44.7 | 29 |

Crystal structure
Lattice parameters (Å, degrees): 16.061 16.061 16.061 159.45 159.45 29.22
Atoms (fractional coordinates):
Cs: 0.000 0.000 0.000
Cs: 0.176 0.176 0.000
Cs: 0.824 0.824 0.000
Sr: 0.408 0.408 0.000
Sr: 0.592 0.592 0.000
I: 0.302 0.302 0.000
I: 0.698 0.698 0.000
Cl: 0.090 0.590 0.500
Cl: 0.410 0.910 0.500
Cl: 0.500 0.500 0.000
Cl: 0.590 0.090 0.500
Cl: 0.910 0.410 0.500